1.
Diffraction record for TbGdCu2Sn. The X-ray diffraction stick pattern is computed, not measured: it uses the GGA-PBE geometry in OQMD and Cu Ka.

Cell and atoms:
```
5
Lattice="3.6344 0.0000 0.0000 0.0000 2.1257 6.9247 0.0000 -2.1257 6.9247" Properties=species:S:1:pos:R:3 pbc="T T T"
Tb 0.0000 0.0000 0.0000
Gd 0.0000 0.0000 3.6164
Cu 1.8172 0.0000 5.9473
Cu 1.8172 0.0000 11.5330
Sn 1.8172 0.0000 8.7296
```

Peak list (10 most intense, 2θ from 10° to 80°, in order of rising 2θ)
| two_theta | I_rel |
| --- | --- |
| 28.54 | 33 |
| 33.07 | 100 |
| 35.82 | 66 |
| 37.96 | 26 |
| 38.80 | 44 |
| 42.53 | 29 |
| 50.21 | 18 |
| 56.78 | 35 |
| 65.21 | 19 |
| 67.85 | 14 |

---

2.
Diffraction record for AgBSbH6. The X-ray diffraction stick pattern is computed, not measured: it uses the GGA-PBE geometry in OQMD and Cu Ka.

Cell and atoms:
```
9
Lattice="0.0000 3.4023 3.4023 3.4023 0.0000 3.4023 3.4023 3.4023 0.0000" Properties=species:S:1:pos:R:3 pbc="T T T"
Ag 0.0000 0.0000 0.0000
B 5.1035 5.1035 5.1035
Sb 3.4023 3.4023 3.4023
H 5.1035 5.1035 3.6657
H 5.1035 3.6657 5.1035
H 6.5413 5.1035 5.1035
H 3.6657 5.1035 5.1035
H 5.1035 6.5413 5.1035
H 5.1035 5.1035 6.5413
```

Peak list (8 most intense, 2θ from 10° to 80°, in order of rising 2θ)
| two_theta | I_rel |
| --- | --- |
| 22.63 | 1 |
| 26.19 | 100 |
| 37.38 | 91 |
| 46.22 | 31 |
| 53.89 | 16 |
| 60.88 | 37 |
| 67.42 | 30 |
| 79.72 | 10 |